Diffraction record for Sr2TlSn4Au3. The powder diffractogram is simulated, not measured: it uses a GGA-PBE-relaxed structure and λ = 1.5418 Å (Cu Kα).
Kinematic intensities with the Lorentz-polarization factor, no thermal factor.

Peak list (8 most intense, 2θ = 10–80°, by angle)
20.01°, I 31; 29.33°, I 38; 30.42°, I 100; 37.58°, I 75; 40.49°, I 67; 42.60°, I 27; 54.19°, I 26; 69.78°, I 28

Atomic structure:
a b c (Å): 4.7872 4.7872 11.8367
angles (deg): 90.00 90.00 90.00
Sites, in units of the cell vectors:
Sr 0.0000 0.5000 0.2483
Sr 0.5000 0.0000 0.7517
Tl 0.0000 0.0000 0.5000
Sn 0.0000 0.0000 0.0000
Sn 0.0000 0.5000 0.6425
Sn 0.5000 0.0000 0.3575
Sn 0.5000 0.5000 0.0000
Au 0.0000 0.5000 0.8690
Au 0.5000 0.0000 0.1310
Au 0.5000 0.5000 0.5000


Diffraction record for SrZn2SnAu. The powder diffractogram is simulated, not measured: it uses a GGA-PBE-relaxed structure and λ = 1.5418 Å (Cu Kα).
Kinematic intensities with the Lorentz-polarization factor, no thermal factor.

Peak list (8 most intense, 2θ = 10–80°, by angle)
21.57°, I 31; 30.31°, I 34; 32.41°, I 100; 40.62°, I 31; 41.07°, I 30; 42.08°, I 47; 43.35°, I 21; 43.46°, I 24

Atomic structure:
a b c (Å): 6.6871 6.6871 6.6871
angles (deg): 141.62 141.20 55.71
Sites, in units of the cell vectors:
Sr 0.0000 0.0000 0.0000
Zn 0.3881 0.3881 0.0000
Zn 0.7506 0.2506 0.5000
Sn 0.2510 0.7510 0.5000
Au 0.6059 0.6059 0.0000


Diffraction record for SrZnSn2Au5. The powder diffractogram is simulated, not measured: it uses a GGA-PBE-relaxed structure and λ = 1.5418 Å (Cu Kα).
Kinematic intensities with the Lorentz-polarization factor, no thermal factor.

Peak list (8 most intense, 2θ = 10–80°, by angle)
25.64°, I 96; 35.29°, I 100; 36.20°, I 74; 36.94°, I 40; 38.66°, I 72; 39.50°, I 63; 54.00°, I 55; 56.73°, I 32

Atomic structure:
a b c (Å): 8.2822 8.2822 8.2822
angles (deg): 145.13 137.16 56.37
Sites, in units of the cell vectors:
Sr 0.0000 0.0000 0.0000
Zn 0.5000 0.5000 0.0000
Sn 0.3090 0.8090 0.5000
Sn 0.6910 0.1910 0.5000
Au 0.0943 0.3550 0.7393
Au 0.3844 0.6450 0.7393
Au 0.5000 0.0000 0.5000
Au 0.6156 0.3550 0.2607
Au 0.9057 0.6450 0.2607


Diffraction record for TbSnTe3Au. The powder diffractogram is simulated, not measured: it uses a GGA-PBE-relaxed structure and λ = 1.5418 Å (Cu Kα).
Kinematic intensities with the Lorentz-polarization factor, no thermal factor.

Peak list (8 most intense, 2θ = 10–80°, by angle)
12.01°, I 58; 27.23°, I 32; 29.49°, I 39; 29.75°, I 100; 32.72°, I 32; 33.94°, I 55; 34.44°, I 38; 42.09°, I 41

Atomic structure:
a b c (Å): 8.6830 4.2940 10.1528
angles (deg): 90.00 104.63 90.00
Sites, in units of the cell vectors:
Tb 0.1858 0.2500 0.1792
Tb 0.8142 0.7500 0.8208
Sn 0.2897 0.7500 0.7342
Sn 0.7103 0.2500 0.2658
Te 0.0804 0.2500 0.8568
Te 0.2295 0.2500 0.4886
Te 0.4262 0.7500 0.1373
Te 0.5738 0.2500 0.8627
Te 0.7705 0.7500 0.5114
Te 0.9196 0.7500 0.1432
Au 0.4110 0.7500 0.4061
Au 0.5890 0.2500 0.5939


Diffraction record for TcSn3Au. The powder diffractogram is simulated, not measured: it uses a GGA-PBE-relaxed structure and λ = 1.5418 Å (Cu Kα).
Kinematic intensities with the Lorentz-polarization factor, no thermal factor.

Peak list (8 most intense, 2θ = 10–80°, by angle)
24.46°, I 35; 30.08°, I 94; 34.87°, I 100; 43.06°, I 16; 50.14°, I 72; 59.59°, I 43; 62.53°, I 25; 73.63°, I 12

Atomic structure:
a b c (Å): 5.1459 5.1459 5.1459
angles (deg): 90.00 90.00 90.00
Sites, in units of the cell vectors:
Tc 0.0000 0.0000 0.0000
Sn 0.0000 0.0000 0.5000
Sn 0.0000 0.5000 0.0000
Sn 0.5000 0.0000 0.0000
Au 0.5000 0.5000 0.5000


Diffraction record for Sn3Te4Au. The powder diffractogram is simulated, not measured: it uses a GGA-PBE-relaxed structure and λ = 1.5418 Å (Cu Kα).
Kinematic intensities with the Lorentz-polarization factor, no thermal factor.

Peak list (8 most intense, 2θ = 10–80°, by angle)
23.10°, I 12; 26.89°, I 93; 30.29°, I 34; 40.74°, I 100; 49.51°, I 20; 58.96°, I 13; 66.00°, I 16; 74.17°, I 20

Atomic structure:
a b c (Å): 4.4263 4.4263 15.6167
angles (deg): 98.19 98.19 60.03
Sites, in units of the cell vectors:
Sn 0.0000 0.0000 0.0000
Sn 0.1621 0.1621 0.4899
Sn 0.5811 0.5811 0.7448
Te 0.2840 0.2840 0.8534
Te 0.4475 0.4475 0.3475
Te 0.7015 0.7015 0.1046
Te 0.8658 0.8658 0.6007
Au 0.7597 0.7597 0.2844